Diffraction record for AcPm4Pb2. The powder XRD pattern is computed, not measured: it uses a PBE-relaxed structure and Cu Kα.
Kinematic intensities with the Lorentz-polarization factor, no thermal factor.

Structure:
```
AcPm4Pb2
1.0
-2.3162 2.3162 12.6232
2.3162 -2.3162 12.6232
2.3162 2.3162 -12.6232
Ac Pm Pb
1 4 2
Cartesian
0.0000 0.0000 0.0000 Ac
0.0000 0.0000 3.4773 Pm
2.3162 0.0000 6.3116 Pm
0.0000 2.3162 6.3116 Pm
0.0000 0.0000 21.7692 Pm
0.0000 0.0000 8.9428 Pb
0.0000 0.0000 16.3036 Pb
```

Principal peaks in the range 10° ≤ 2θ ≤ 80°, by intensity:
| 2θ (°) | d_spacing | Rel. int. |
| --- | --- | --- |
| 34.71 | 2.585 | 100 |
| 30.75 | 2.907 | 78 |
| 38.88 | 2.316 | 62 |
| 28.28 | 3.156 | 44 |
| 21.90 | 4.058 | 42 |
| 27.22 | 3.276 | 42 |


Diffraction record for Ac3PmPb2. The powder XRD pattern is computed, not measured: it uses a PBE-relaxed structure and Cu Kα.
Kinematic intensities with the Lorentz-polarization factor, no thermal factor.

Structure:
```
Ac3PmPb2
1.0
4.9608 0.0000 0.0000
0.0000 4.9608 0.0000
0.0000 0.0000 9.2694
Ac Pm Pb
3 1 2
Cartesian
0.0000 0.0000 0.0000 Ac
0.0000 2.4804 6.0341 Ac
2.4804 0.0000 3.2353 Ac
2.4804 2.4804 0.0000 Pm
0.0000 2.4804 2.5486 Pb
2.4804 0.0000 6.7208 Pb
```

Principal peaks in the range 10° ≤ 2θ ≤ 80°, by intensity:
| 2θ (°) | d_spacing | Rel. int. |
| --- | --- | --- |
| 32.00 | 2.797 | 100 |
| 27.18 | 3.281 | 89 |
| 36.22 | 2.480 | 66 |
| 46.98 | 1.934 | 48 |
| 28.90 | 3.090 | 38 |
| 62.51 | 1.486 | 31 |


Diffraction record for AcPm12Pb7. The powder XRD pattern is computed, not measured: it uses a PBE-relaxed structure and Cu Kα.
Kinematic intensities with the Lorentz-polarization factor, no thermal factor.

Structure:
```
AcPm12Pb7
1.0
8.0052 4.6218 2.9937
-8.0052 4.6218 2.9937
0.0000 -9.2437 2.9937
Ac Pm Pb
1 12 7
Cartesian
0.0000 0.0000 0.0000 Ac
-2.2022 -5.4293 2.9937 Pm
-5.8030 0.8074 2.9937 Pm
-2.6688 -1.5409 3.4126 Pm
2.2022 -5.4293 2.9937 Pm
-3.6008 4.6218 2.9937 Pm
2.6688 -1.5409 3.4126 Pm
0.0000 3.0817 3.4126 Pm
0.0000 -3.0817 5.5686 Pm
-2.6689 1.5409 5.5686 Pm
5.8030 0.8075 2.9937 Pm
3.6008 4.6218 2.9937 Pm
2.6689 1.5409 5.5686 Pm
0.0000 -2.9297 2.1916 Pb
-2.5372 1.4649 2.1916 Pb
2.5372 1.4649 2.1916 Pb
0.0000 0.0000 4.4906 Pb
-2.5372 -1.4649 6.7896 Pb
2.5372 -1.4649 6.7896 Pb
0.0000 2.9297 6.7896 Pb
```

Principal peaks in the range 10° ≤ 2θ ≤ 80°, by intensity:
| 2θ (°) | d_spacing | Rel. int. |
| --- | --- | --- |
| 33.58 | 2.668 | 100 |
| 30.61 | 2.921 | 97 |
| 35.73 | 2.513 | 77 |
| 27.58 | 3.234 | 52 |
| 50.35 | 1.812 | 32 |
| 61.46 | 1.509 | 32 |


Diffraction record for Ac2Pm3Pb3. The powder XRD pattern is computed, not measured: it uses a PBE-relaxed structure and Cu Kα.
Kinematic intensities with the Lorentz-polarization factor, no thermal factor.

Structure:
```
Ac2Pm3Pb3
1.0
-2.2920 2.6291 11.1801
2.2920 -2.6291 11.1801
2.2920 2.6291 -11.1801
Ac Pm Pb
2 3 3
Cartesian
0.0000 0.0000 5.1955 Ac
0.0000 0.0000 17.1647 Ac
0.0000 0.0000 0.0000 Pm
2.2920 0.0000 8.6599 Pm
0.0000 2.6291 2.5202 Pm
2.2920 0.0000 2.6120 Pb
0.0000 0.0000 11.1801 Pb
0.0000 2.6291 8.5681 Pb
```

Principal peaks in the range 10° ≤ 2θ ≤ 80°, by intensity:
| 2θ (°) | d_spacing | Rel. int. |
| --- | --- | --- |
| 30.41 | 2.939 | 100 |
| 34.10 | 2.629 | 20 |
| 32.02 | 2.795 | 17 |
| 58.77 | 1.571 | 16 |
| 39.31 | 2.292 | 14 |
| 65.81 | 1.419 | 12 |


Diffraction record for AcPr6Pb. The powder XRD pattern is computed, not measured: it uses a PBE-relaxed structure and Cu Kα.
Kinematic intensities with the Lorentz-polarization factor, no thermal factor.

Structure:
```
AcPr6Pb
1.0
5.1206 0.0000 0.0000
0.0000 5.1206 0.0000
0.0000 0.0000 10.6674
Ac Pr Pb
1 6 1
Cartesian
0.0000 0.0000 0.0000 Ac
0.0000 2.5603 2.7976 Pr
0.0000 2.5603 7.8697 Pr
2.5603 0.0000 2.7976 Pr
2.5603 0.0000 7.8697 Pr
2.5603 2.5603 0.0000 Pr
2.5603 2.5603 5.3337 Pr
0.0000 0.0000 5.3337 Pb
```

Principal peaks in the range 10° ≤ 2θ ≤ 80°, by intensity:
| 2θ (°) | d_spacing | Rel. int. |
| --- | --- | --- |
| 29.82 | 2.996 | 100 |
| 35.05 | 2.560 | 33 |
| 59.68 | 1.549 | 28 |
| 49.34 | 1.847 | 24 |
| 33.61 | 2.667 | 18 |
| 57.77 | 1.596 | 14 |


Diffraction record for Ac6Pt4Pb. The powder XRD pattern is computed, not measured: it uses a PBE-relaxed structure and Cu Kα.
Kinematic intensities with the Lorentz-polarization factor, no thermal factor.

Structure:
```
Ac6Pt4Pb
1.0
2.2593 -7.3008 0.0000
2.2593 7.3008 0.0000
0.0000 0.0000 22.4053
Ac Pt Pb
12 8 2
Cartesian
0.0000 0.0000 0.0000 Ac
0.0000 0.0000 11.2027 Ac
2.2593 4.8045 16.8040 Ac
2.2593 3.3657 1.8509 Ac
2.2593 3.3657 9.3518 Ac
2.2593 0.5528 14.7275 Ac
2.2593 0.5528 18.8805 Ac
2.2593 -0.5528 3.5249 Ac
2.2593 -0.5528 7.6778 Ac
2.2593 -3.3657 13.0536 Ac
2.2593 -3.3657 20.5544 Ac
2.2593 -4.8045 5.6013 Ac
2.2593 5.8910 13.9906 Pt
2.2593 5.8910 19.6174 Pt
2.2593 1.9963 12.1257 Pt
2.2593 1.9963 21.4823 Pt
2.2593 -1.9963 0.9231 Pt
2.2593 -1.9963 10.2796 Pt
2.2593 -5.8910 2.7879 Pt
2.2593 -5.8910 8.4147 Pt
2.2593 5.0426 5.6013 Pb
2.2593 -5.0426 16.8040 Pb
```

Principal peaks in the range 10° ≤ 2θ ≤ 80°, by intensity:
| 2θ (°) | d_spacing | Rel. int. |
| --- | --- | --- |
| 28.10 | 3.176 | 100 |
| 26.82 | 3.325 | 64 |
| 29.51 | 3.027 | 60 |
| 39.90 | 2.259 | 41 |
| 27.22 | 3.276 | 41 |
| 40.14 | 2.247 | 36 |